Structure and simulated PXRD pattern of PrGeS (a crystal structure in Alexandria, relaxed with GGA-PBE; Cu Kα (λ = 1.5418 Å)).
No peak broadening, texture or thermal motion is included.

Cell and atoms:
```
data_PrGeS
_space_group_name_H-M_alt 'R -3 m'
_space_group_IT_number 166
_space_group_name_Hall '-R 3 2"'
_cell_length_a 4.4556
_cell_length_b 4.4556
_cell_length_c 27.1430
_cell_angle_alpha 90.00
_cell_angle_beta 90.00
_cell_angle_gamma 120.00
loop_
_atom_site_label
_atom_site_fract_x
_atom_site_fract_y
_atom_site_fract_z
_atom_site_occupancy
Pr1 0.0000 0.0000 0.0931 1
Ge1 0.0000 0.0000 0.3489 1
S1 0.0000 0.0000 0.2043 1
```

Most intense lines, 2θ = 5–70°, in order of falling intensity:
- 26.6°, d 3.354, rel. 100
- 40.5°, d 2.228, rel. 97
- 32.7°, d 2.735, rel. 93
- 23.3°, d 3.820, rel. 47
- 28.4°, d 3.145, rel. 47
- 43.5°, d 2.079, rel. 41
- 51.0°, d 1.792, rel. 31
- 29.6°, d 3.016, rel. 24
- 53.0°, d 1.727, rel. 23
- 59.5°, d 1.553, rel. 22